No. 1
Computed X-ray diffraction stick pattern
Compound: Rb2TaAuF6
Radiation: λ = 1.5418 Å (Cu Kα)
Structure: a crystal structure in the Materials Project, relaxed with PBE

Peak list (6 most intense, 15° ≤ 2θ ≤ 90°, by angle)
Position (°2θ)	I (rel.)	index
17.26	26	2 0 0
24.50	100	2 2 0
34.92	28	4 0 0
43.12	39	4 2 2
56.64	24	6 2 0
68.29	25	6 4 2

Cell and atoms:
```
data_Rb2TaAuF6
_chemical_formula_sum 'Rb8 Ta4 Au4 F24'
_cell_length_a 10.278
_cell_length_b 10.278
_cell_length_c 10.278
_cell_angle_alpha 90.00
_cell_angle_beta 90.00
_cell_angle_gamma 90.00
_symmetry_space_group_name_H-M 'F m -3 m'
_symmetry_Int_Tables_number 225
_symmetry_space_group_name_Hall '-F 4 2 3'
loop_
_atom_site_label
_atom_site_fract_x
_atom_site_fract_y
_atom_site_fract_z
Rb1 0.250 0.250 0.250
Ta1 0.000 0.000 0.000
Au1 0.000 0.000 0.500
F1 0.000 0.000 0.187
```



No. 2
Computed X-ray diffraction stick pattern
Compound: MgSi2
Radiation: λ = 1.5418 Å (Cu Kα)
Structure: a crystal structure in the Materials Project, relaxed with PBE

Peak list (6 most intense, 15° ≤ 2θ ≤ 90°, by angle)
Position (°2θ)	I (rel.)	index
33.79	100	1 -1 0
34.06	41	0 0 4
34.44	67	1 2 0
36.51	30	0 1 4
42.22	24	1 0 4
50.32	33	2 1 0

Cell and atoms:
```
data_MgSi2
_chemical_formula_sum 'Mg4 Si8'
_cell_length_a 3.634
_cell_length_b 5.994
_cell_length_c 10.580
_cell_angle_alpha 84.90
_cell_angle_beta 86.33
_cell_angle_gamma 73.14
_symmetry_space_group_name_H-M 'P 1'
_symmetry_Int_Tables_number 1
_symmetry_space_group_name_Hall 'P 1'
loop_
_atom_site_label
_atom_site_fract_x
_atom_site_fract_y
_atom_site_fract_z
Mg1 0.000 0.000 0.000
Mg2 0.008 0.920 0.489
Mg3 0.338 0.233 0.226
Mg4 0.658 0.542 0.668
Si1 0.027 0.829 0.245
Si2 0.319 0.304 0.499
Si3 0.331 0.349 0.920
Si4 0.356 0.151 0.726
Si5 0.638 0.619 0.159
Si6 0.713 0.617 0.924
Si7 0.728 0.537 0.409
Si8 0.967 0.880 0.754
```



No. 3
Computed X-ray diffraction stick pattern
Compound: Li5CuP2O8
Radiation: λ = 1.5418 Å (Cu Kα)
Structure: a crystal structure in the Materials Project, relaxed with PBE

Peak list (6 most intense, 15° ≤ 2θ ≤ 90°, by angle)
Position (°2θ)	I (rel.)	index
16.61	68	1 0 0
21.95	55	1 -1 0
24.45	71	1 0 -2
33.36	100	1 2 0
33.58	56	2 0 0
36.09	88	0 0 4

Cell and atoms:
```
data_Li5CuP2O8
_chemical_formula_sum 'Li10 Cu2 P4 O16'
_cell_length_a 5.338
_cell_length_b 6.215
_cell_length_c 9.956
_cell_angle_alpha 89.88
_cell_angle_beta 89.82
_cell_angle_gamma 89.91
_symmetry_space_group_name_H-M 'P 1'
_symmetry_Int_Tables_number 1
_symmetry_space_group_name_Hall 'P 1'
loop_
_atom_site_label
_atom_site_fract_x
_atom_site_fract_y
_atom_site_fract_z
Li1 0.000 0.000 0.000
Li2 0.000 0.492 0.001
Li3 0.171 0.245 0.250
Li4 0.482 0.745 0.499
Li5 0.483 0.745 0.000
Li6 0.653 0.496 0.750
Li7 0.653 0.498 0.249
Li8 0.653 0.995 0.750
Li9 0.654 0.992 0.249
Li10 0.998 0.997 0.498
Cu1 0.152 0.247 0.749
Cu2 0.991 0.489 0.497
P1 0.153 0.747 0.242
P2 0.155 0.748 0.748
P3 0.505 0.241 0.493
P4 0.505 0.245 0.998
O1 0.009 0.948 0.802
O2 0.011 0.546 0.801
O3 0.013 0.538 0.289
O4 0.014 0.950 0.297
O5 0.149 0.749 0.086
O6 0.154 0.755 0.591
O7 0.225 0.229 0.539
O8 0.228 0.245 0.047
O9 0.428 0.745 0.295
O10 0.430 0.746 0.798
O11 0.513 0.245 0.337
O12 0.520 0.245 0.841
O13 0.622 0.452 0.550
O14 0.640 0.452 0.050
O15 0.641 0.038 0.051
O16 0.644 0.038 0.547
```



Repeat the third record exactly.
Computed X-ray diffraction stick pattern
Compound: Li5CuP2O8
Radiation: λ = 1.5418 Å (Cu Kα)
Structure: a crystal structure in the Materials Project, relaxed with PBE

Peak list (6 most intense, 15° ≤ 2θ ≤ 90°, by angle)
Position (°2θ)	I (rel.)	index
16.61	68	1 0 0
21.95	55	1 -1 0
24.45	71	1 0 -2
33.36	100	1 2 0
33.58	56	2 0 0
36.09	88	0 0 4

Cell and atoms:
```
data_Li5CuP2O8
_chemical_formula_sum 'Li10 Cu2 P4 O16'
_cell_length_a 5.338
_cell_length_b 6.215
_cell_length_c 9.956
_cell_angle_alpha 89.88
_cell_angle_beta 89.82
_cell_angle_gamma 89.91
_symmetry_space_group_name_H-M 'P 1'
_symmetry_Int_Tables_number 1
_symmetry_space_group_name_Hall 'P 1'
loop_
_atom_site_label
_atom_site_fract_x
_atom_site_fract_y
_atom_site_fract_z
Li1 0.000 0.000 0.000
Li2 0.000 0.492 0.001
Li3 0.171 0.245 0.250
Li4 0.482 0.745 0.499
Li5 0.483 0.745 0.000
Li6 0.653 0.496 0.750
Li7 0.653 0.498 0.249
Li8 0.653 0.995 0.750
Li9 0.654 0.992 0.249
Li10 0.998 0.997 0.498
Cu1 0.152 0.247 0.749
Cu2 0.991 0.489 0.497
P1 0.153 0.747 0.242
P2 0.155 0.748 0.748
P3 0.505 0.241 0.493
P4 0.505 0.245 0.998
O1 0.009 0.948 0.802
O2 0.011 0.546 0.801
O3 0.013 0.538 0.289
O4 0.014 0.950 0.297
O5 0.149 0.749 0.086
O6 0.154 0.755 0.591
O7 0.225 0.229 0.539
O8 0.228 0.245 0.047
O9 0.428 0.745 0.295
O10 0.430 0.746 0.798
O11 0.513 0.245 0.337
O12 0.520 0.245 0.841
O13 0.622 0.452 0.550
O14 0.640 0.452 0.050
O15 0.641 0.038 0.051
O16 0.644 0.038 0.547
```